# 1
Calculated powder diffraction line list of MnSeO5 for Cu Kα, 1.54184 Å, from a cell relaxed with PBE+U.
Neutral-atom scattering factors, no anomalous dispersion.

```
MnSeO5
1.0
3.4535 -4.2613 0.0000
3.4535 4.2613 0.0000
-2.8675 0.0000 6.4161
Mn Se O
2 2 10
Cartesian
0.0000 0.0000 0.0000 Mn
-1.4338 0.0000 3.2080 Mn
1.3029 1.4601 4.8121 Se
2.7366 -1.4601 1.6040 Se
2.7366 3.6973 1.6040 O
0.2280 2.3788 5.7197 O
0.4875 0.4609 3.7335 O
2.3777 2.3788 3.9044 O
1.9212 -0.4609 0.5254 O
2.1183 0.4609 5.8906 O
1.6618 -2.3788 2.5117 O
3.5521 -0.4609 2.6826 O
3.8115 -2.3788 0.6964 O
1.3029 -3.6973 4.8121 O
```

Peak list (6 most intense, 15° ≤ 2θ ≤ 90°, sorted by position)
2θ (°)	I/Imax
18.4	100
25.1	54
25.7	58
27.6	65
28.3	57
34.6	48

***

# 2
Calculated powder diffraction line list of MnSeO5 for Cu Kα, 1.54184 Å, from a cell relaxed with PBE+U.
Neutral-atom scattering factors, no anomalous dispersion.

```
MnSeO5
1.0
3.0184 -4.7333 0.0000
3.0184 4.7333 0.0000
-3.0065 0.0000 6.6982
Mn Se O
2 2 10
Cartesian
0.0000 0.0000 0.0000 Mn
-1.5032 0.0000 3.3491 Mn
0.7635 0.5865 5.0237 Se
2.2667 -0.5865 1.6746 Se
0.7635 4.0944 5.0237 O
-0.5696 1.5627 4.7625 O
1.8618 0.5714 0.4629 O
0.3585 -0.5714 3.8121 O
0.9337 -1.5627 1.4134 O
2.0966 1.5627 5.2848 O
2.6717 0.5714 2.8862 O
1.1685 -0.5714 6.2353 O
3.5998 -1.5627 1.9357 O
2.2667 -4.0944 1.6746 O
```

Peak list (6 most intense, 15° ≤ 2θ ≤ 90°, sorted by position)
2θ (°)	I/Imax
18.7	100
23.0	26
26.6	95
37.8	34
38.0	48
47.0	23

***

# 3
Calculated powder diffraction line list of MnSe2O5 for Cu Kα, 1.54184 Å, from a cell relaxed with PBE+U.
Neutral-atom scattering factors, no anomalous dispersion.

```
MnSe2O5
1.0
6.9724 0.0000 0.0000
0.0000 10.8308 0.0000
0.0000 0.0000 6.4146
Mn Se O
4 8 20
Cartesian
0.0000 0.6539 1.6037 Mn
0.0000 10.1769 4.8110 Mn
3.4862 4.7615 4.8110 Mn
3.4862 6.0693 1.6037 Mn
0.9336 3.7284 0.2675 Se
0.9336 7.1024 3.4748 Se
2.5526 1.6870 3.4748 Se
2.5526 9.1438 0.2675 Se
4.4198 1.6870 6.1472 Se
4.4198 9.1438 2.9398 Se
6.0388 3.7284 2.9398 Se
6.0388 7.1024 6.1472 Se
0.0000 4.6570 1.6037 O
0.0000 6.1738 4.8110 O
1.1185 0.7343 3.5194 O
1.1185 10.0965 0.3121 O
1.3846 2.3069 1.0706 O
1.3846 8.5239 4.2779 O
2.1016 3.1085 4.2779 O
2.1016 7.7223 1.0706 O
2.3677 4.6811 0.3121 O
2.3677 6.1497 3.5194 O
3.4862 0.7584 4.8110 O
3.4862 10.0723 1.6037 O
4.6047 4.6811 2.8953 O
4.6047 6.1497 6.1026 O
4.8708 3.1085 5.3441 O
4.8708 7.7223 2.1367 O
5.5879 2.3069 2.1367 O
5.5879 8.5239 5.3441 O
5.8539 0.7343 6.1026 O
5.8539 10.0965 2.8953 O
```

Peak list (6 most intense, 15° ≤ 2θ ≤ 90°, sorted by position)
2θ (°)	I/Imax
20.5	39
25.0	100
27.8	46
30.3	65
30.7	22
51.7	26

***

# 4
Calculated powder diffraction line list of MnSe2O5 for Cu Kα, 1.54184 Å, from a cell relaxed with PBE+U.
Neutral-atom scattering factors, no anomalous dispersion.

```
MnSe2O5
1.0
4.0901 -5.5343 0.0000
4.0901 5.5343 0.0000
-2.6659 0.0000 5.3862
Mn Se O
2 4 10
Cartesian
2.0907 4.6215 4.0396 Mn
3.4236 -4.6215 1.3465 Mn
0.4897 1.5416 4.6724 Se
1.8227 -1.5416 1.9793 Se
3.6916 1.5416 3.4069 Se
5.0246 -1.5416 0.7138 Se
0.4868 3.1488 4.1617 O
-0.5288 0.7249 3.5543 O
0.8041 -0.7249 0.8612 O
3.6945 3.1488 3.9175 O
2.0907 0.8345 4.0396 O
3.4236 -0.8345 1.3465 O
1.8198 -3.1488 1.4686 O
4.7102 0.7249 4.5250 O
6.0431 -0.7249 1.8319 O
5.0275 -3.1488 1.2245 O
```

Peak list (6 most intense, 15° ≤ 2θ ≤ 90°, sorted by position)
2θ (°)	I/Imax
23.0	37
25.8	89
27.7	100
30.9	21
31.3	21
32.4	25

***

# 5
Calculated powder diffraction line list of MnSeO5 for Cu Kα, 1.54184 Å, from a cell relaxed with PBE+U.
Neutral-atom scattering factors, no anomalous dispersion.

```
MnSeO5
1.0
6.1590 0.0000 0.0000
0.0000 6.6633 0.0000
-2.2226 0.0000 9.7133
Mn Se O
4 4 20
Cartesian
0.8949 0.2999 1.2815 Mn
-0.2164 3.0317 6.1382 Mn
4.1528 3.6315 3.5751 Mn
3.0415 6.3633 8.4318 Mn
1.2543 4.7336 3.6356 Se
0.1430 5.2613 8.4923 Se
3.7934 1.4019 1.2210 Se
2.6821 1.9297 6.0777 Se
-0.1258 3.7204 4.2163 O
-1.2370 6.2744 9.0729 O
-0.4359 4.9282 6.9176 O
0.6754 5.0667 2.0609 O
0.6225 1.0926 2.8711 O
-0.4888 2.2390 7.7277 O
0.1095 1.2980 5.7644 O
1.2208 2.0336 0.9078 O
1.1681 0.0045 8.2109 O
2.2794 3.3271 3.3543 O
1.6570 3.3361 6.3590 O
2.7683 6.6587 1.5024 O
2.7156 4.6296 8.8055 O
3.8269 5.3653 3.9489 O
4.4252 4.4243 1.9856 O
3.3139 5.5706 6.8422 O
3.2610 1.5966 7.6524 O
4.3723 1.7350 2.7957 O
5.1735 0.3888 0.6404 O
4.0622 2.9428 5.4970 O
```

Peak list (6 most intense, 15° ≤ 2θ ≤ 90°, sorted by position)
2θ (°)	I/Imax
16.1	100
22.7	86
29.8	26
31.3	27
34.1	38
37.0	26

***

# 6
Calculated powder diffraction line list of MnSe2O9 for Cu Kα, 1.54184 Å, from a cell relaxed with PBE+U.
Neutral-atom scattering factors, no anomalous dispersion.

```
MnSe2O9
1.0
8.6048 0.0000 0.0000
0.0000 4.9961 0.0000
-5.7323 0.0000 15.6561
Mn Se O
4 8 36
Cartesian
-0.7243 1.2253 7.6600 Mn
-3.5904 1.2727 15.4881 Mn
6.4629 3.7234 0.1681 Mn
3.5967 3.7708 7.9961 Mn
-0.6236 1.2086 1.8416 Se
-3.4897 1.2895 9.6696 Se
0.5735 3.6945 9.5019 Se
3.4396 3.7997 1.6738 Se
-0.5672 1.1964 13.9823 Se
2.2990 1.3017 6.1542 Se
6.3622 3.7066 5.9865 Se
3.4960 3.7875 13.8145 Se
-1.9697 0.3363 6.4437 O
-4.8358 2.1617 14.2717 O
-0.4100 1.1458 3.4531 O
-3.2762 1.3523 11.2812 O
0.7328 0.5944 1.0215 O
-2.1334 1.9037 8.8495 O
-0.8900 2.7824 6.4741 O
-3.7561 4.7118 14.3021 O
-2.1057 3.5416 11.7528 O
0.7605 3.9526 3.9247 O
2.2173 2.9045 0.8874 O
-0.6488 4.5897 8.7155 O
0.7781 0.6330 6.5263 O
-2.0881 1.8650 14.3543 O
3.3996 0.3917 1.0275 O
0.5334 2.1064 8.8556 O
-0.3252 1.1879 12.3778 O
2.5410 1.3102 4.5497 O
0.3315 3.6859 11.1064 O
3.1976 3.8083 3.2784 O
2.3391 2.8897 6.8005 O
-0.5271 4.6044 14.6286 O
4.9606 3.1311 1.3018 O
2.0944 4.3631 9.1299 O
3.5213 0.4064 6.9407 O
0.6551 2.0916 14.7687 O
2.1120 1.0436 11.7314 O
4.9782 1.4545 3.9034 O
6.6286 0.2843 1.3540 O
3.7624 2.2137 9.1821 O
5.0058 3.0924 6.8066 O
2.1397 4.4017 14.6347 O
6.1487 3.6439 4.3750 O
3.2825 3.8503 12.2030 O
7.7083 2.8344 1.3844 O
4.8422 4.6598 9.2125 O
```

Peak list (6 most intense, 15° ≤ 2θ ≤ 90°, sorted by position)
2θ (°)	I/Imax
21.9	29
25.6	100
36.0	11
36.1	18
37.0	19
44.7	10

***

Number 6 is which compound? MnSe2O9